Calculated powder diffraction line list
Compound: Er14HfSc
Radiation: λ = 1.5418 Å (Cu Kα)
Structure: a crystal structure in Alexandria, relaxed with GGA-PBE

Largest 10 diffraction maxima, low angle first, 2θ from 10° to 80°:
- 12.8°, rel. 2
- 31.7°, rel. 100
- 36.7°, rel. 34
- 36.8°, rel. 17
- 52.9°, rel. 35
- 62.9°, rel. 28
- 63.1°, rel. 13
- 66.1°, rel. 12
- 78.0°, rel. 4
- 78.3°, rel. 2

Atomic structure:
```
data_Er14HfSc
_chemical_formula_sum 'Er14 Hf1 Sc1'
_symmetry_space_group_name_H-M 'P 4/m m m'
_symmetry_Int_Tables_number 123
_symmetry_space_group_name_Hall '-P 4 2'
_cell_length_a 6.9311
_cell_length_b 6.9311
_cell_length_c 9.7731
_cell_angle_alpha 90.00
_cell_angle_beta 90.00
_cell_angle_gamma 90.00
loop_
_atom_site_label
_atom_site_type_symbol
_atom_site_fract_x
_atom_site_fract_y
_atom_site_fract_z
_atom_site_occupancy
Er1 Er 0.0000 0.0000 0.0000 1
Er2 Er 0.0000 0.5000 0.0000 1
Er3 Er 0.0000 0.5000 0.5000 1
Er4 Er 0.2466 0.2466 0.2574 1
Er5 Er 0.5000 0.5000 0.0000 1
Hf1 Hf 0.0000 0.0000 0.5000 1
Sc1 Sc 0.5000 0.5000 0.5000 1
```